# Mg2Zn3Ag6
Calculated X-ray powder pattern, copper Kα. Input: a DFT-relaxed cell (PBE, Alexandria).
Kinematic intensities with the Lorentz-polarization factor, no thermal factor.

Crystal structure
Cell lengths 4.8255, 4.8292, 8.5476 Å; angles 97.13, 97.21, 99.57 degrees
Space group P-1 (No. 2)
Asymmetric unit:
1 Mg 0.2388 0.2325 0.3170 x2
2 Zn 0.3225 0.3171 0.6733 x2
3 Zn 0.5000 0.5000 0.0000 x1
4 Ag 0.0976 0.6898 0.1455 x2
5 Ag 0.2237 0.7704 0.5008 x2
6 Ag 0.3028 0.9028 0.8579 x2

Principal peaks in the range 10° ≤ 2θ ≤ 90°, in order of rising 2θ:
24.14 deg, d = 3.686 Å, I = 31, hkl 1 -1 0
32.02 deg, d = 2.795 Å, I = 20, hkl 0 0 3
38.16 deg, d = 2.359 Å, I = 95, hkl 0 2 -1
39.24 deg, d = 2.296 Å, I = 29, hkl 1 1 -3
39.52 deg, d = 2.280 Å, I = 41, hkl 2 -1 0
39.70 deg, d = 2.271 Å, I = 61, hkl 1 1 2
40.50 deg, d = 2.227 Å, I = 100, hkl 1 -1 3
46.62 deg, d = 1.948 Å, I = 20, hkl -1 2 2

***

# AcThTl2
Calculated X-ray powder pattern, copper Kα. Input: a DFT-relaxed cell (PBE, Alexandria).
Kinematic intensities with the Lorentz-polarization factor, no thermal factor.

Crystal structure
Cell lengths 5.2632, 5.2632, 4.5880 Å; angles 90.00, 90.00, 90.00 degrees
Space group P4/mmm (No. 123)
Asymmetric unit:
1 Ac 0.0000 0.0000 0.0000 x1
2 Th 0.5000 0.5000 0.0000 x1
3 Tl 0.0000 0.5000 0.5000 x2

Principal peaks in the range 10° ≤ 2θ ≤ 90°, in order of rising 2θ:
30.94 deg, d = 2.890 Å, I = 100, hkl 1 1 1
34.07 deg, d = 2.632 Å, I = 39, hkl 2 0 0
39.27 deg, d = 2.294 Å, I = 13, hkl 0 0 2
48.95 deg, d = 1.861 Å, I = 14, hkl 2 2 0
52.95 deg, d = 1.729 Å, I = 23, hkl 2 0 2
59.04 deg, d = 1.565 Å, I = 33, hkl 3 1 1
64.48 deg, d = 1.445 Å, I = 13, hkl 2 2 2
86.41 deg, d = 1.126 Å, I = 12, hkl 3 1 3

***

# K4OsO4
Calculated X-ray powder pattern, copper Kα. Input: a DFT-relaxed cell (PBE, Alexandria).
Kinematic intensities with the Lorentz-polarization factor, no thermal factor.

Crystal structure
Cell lengths 6.4063, 6.4063, 12.0674 Å; angles 90.00, 90.00, 90.00 degrees
Space group I-42m (No. 121)
Asymmetric unit:
1 K 0.0000 0.0000 0.2157 x4
2 K 0.0000 0.5000 0.0000 x4
3 Os 0.0000 0.0000 0.5000 x2
4 O 0.1578 0.1578 0.3962 x8

Principal peaks in the range 10° ≤ 2θ ≤ 90°, in order of rising 2θ:
14.68 deg, d = 6.034 Å, I = 33, hkl 0 0 2
15.66 deg, d = 5.658 Å, I = 100, hkl 1 0 1
19.60 deg, d = 4.530 Å, I = 33, hkl 1 1 0
26.16 deg, d = 3.407 Å, I = 37, hkl 1 0 3
27.85 deg, d = 3.203 Å, I = 34, hkl 2 0 0
32.11 deg, d = 2.788 Å, I = 23, hkl 2 1 1
38.58 deg, d = 2.334 Å, I = 32, hkl 2 1 3
41.10 deg, d = 2.196 Å, I = 26, hkl 2 0 4

***

# InPH2S4
Calculated X-ray powder pattern, copper Kα. Input: a DFT-relaxed cell (PBE, Alexandria).
Kinematic intensities with the Lorentz-polarization factor, no thermal factor.

Crystal structure
Cell lengths 4.8199, 6.4003, 6.9437 Å; angles 76.93, 78.80, 69.90 degrees
Space group P1 (No. 1)
Asymmetric unit:
1 In 0.0000 0.0000 0.0000 x1
2 P 0.3578 0.4017 0.7709 x1
3 H 0.5193 0.7807 0.6557 x1
4 H 0.9466 0.5914 0.2451 x1
5 S 0.2459 0.2621 0.0695 x1
6 S 0.4833 0.6780 0.8493 x1
7 S 0.7749 0.1759 0.6837 x1
8 S 0.8902 0.7810 0.3225 x1

Principal peaks in the range 10° ≤ 2θ ≤ 90°, in order of rising 2θ:
13.20 deg, d = 6.709 Å, I = 100, hkl 0 0 1
14.97 deg, d = 5.920 Å, I = 29, hkl 0 1 0
18.19 deg, d = 4.877 Å, I = 40, hkl 0 1 1
22.38 deg, d = 3.972 Å, I = 32, hkl 1 0 1
28.47 deg, d = 3.135 Å, I = 27, hkl 1 -1 0
30.02 deg, d = 2.976 Å, I = 29, hkl 1 2 1
31.47 deg, d = 2.843 Å, I = 34, hkl -1 1 1
32.89 deg, d = 2.723 Å, I = 25, hkl 0 1 -2

***

# CsTi2O
Calculated X-ray powder pattern, copper Kα. Input: a DFT-relaxed cell (PBE, Alexandria).
Kinematic intensities with the Lorentz-polarization factor, no thermal factor.

Crystal structure
Cell lengths 9.2265, 9.2265, 9.2265 Å; angles 90.00, 90.00, 90.00 degrees
Space group Fd-3m (No. 227, origin choice 2)
Asymmetric unit:
1 Cs 0.1250 0.1250 0.1250 x8
2 Ti 0.0000 0.0000 0.5000 x16
3 O 0.1250 0.1250 0.6250 x8

Principal peaks in the range 10° ≤ 2θ ≤ 90°, in order of rising 2θ:
27.34 deg, d = 3.262 Å, I = 100, hkl 2 2 0
32.18 deg, d = 2.782 Å, I = 97, hkl 3 1 1
48.33 deg, d = 1.883 Å, I = 39, hkl 4 2 2
51.46 deg, d = 1.776 Å, I = 34, hkl 5 1 1
56.41 deg, d = 1.631 Å, I = 32, hkl 4 4 0
63.80 deg, d = 1.459 Å, I = 17, hkl 6 2 0
77.40 deg, d = 1.233 Å, I = 19, hkl 6 4 2
79.85 deg, d = 1.201 Å, I = 21, hkl 7 3 1

***

# In2Au3
Calculated X-ray powder pattern, copper Kα. Input: a DFT-relaxed cell (PBE, Alexandria).
Kinematic intensities with the Lorentz-polarization factor, no thermal factor.

Crystal structure
Cell lengths 3.8880, 3.8880, 26.1759 Å; angles 90.00, 90.00, 120.00 degrees
Space group R-3m (No. 166, hexagonal axes)
Asymmetric unit:
1 In 0.0000 0.0000 0.0977 x6
2 Au 0.0000 0.0000 0.3010 x6
3 Au 0.0000 0.0000 0.5000 x3

Principal peaks in the range 10° ≤ 2θ ≤ 90°, in order of rising 2θ:
31.59 deg, d = 2.832 Å, I = 100, hkl 0 1 5
43.81 deg, d = 2.067 Å, I = 41, hkl 1 0 10
46.73 deg, d = 1.944 Å, I = 35, hkl 1 1 0
57.50 deg, d = 1.603 Å, I = 18, hkl 2 0 5
65.97 deg, d = 1.416 Å, I = 12, hkl 0 2 10
72.83 deg, d = 1.299 Å, I = 18, hkl 1 1 15
77.13 deg, d = 1.237 Å, I = 16, hkl 1 2 5
84.68 deg, d = 1.145 Å, I = 13, hkl 2 1 10

***

Please write out number 6 again, unchanged.
# In2Au3
Calculated X-ray powder pattern, copper Kα. Input: a DFT-relaxed cell (PBE, Alexandria).
Kinematic intensities with the Lorentz-polarization factor, no thermal factor.

Crystal structure
Cell lengths 3.8880, 3.8880, 26.1759 Å; angles 90.00, 90.00, 120.00 degrees
Space group R-3m (No. 166, hexagonal axes)
Asymmetric unit:
1 In 0.0000 0.0000 0.0977 x6
2 Au 0.0000 0.0000 0.3010 x6
3 Au 0.0000 0.0000 0.5000 x3

Principal peaks in the range 10° ≤ 2θ ≤ 90°, in order of rising 2θ:
31.59 deg, d = 2.832 Å, I = 100, hkl 0 1 5
43.81 deg, d = 2.067 Å, I = 41, hkl 1 0 10
46.73 deg, d = 1.944 Å, I = 35, hkl 1 1 0
57.50 deg, d = 1.603 Å, I = 18, hkl 2 0 5
65.97 deg, d = 1.416 Å, I = 12, hkl 0 2 10
72.83 deg, d = 1.299 Å, I = 18, hkl 1 1 15
77.13 deg, d = 1.237 Å, I = 16, hkl 1 2 5
84.68 deg, d = 1.145 Å, I = 13, hkl 2 1 10